For Lu6Co2Sn, a crystal structure in the Materials Project, relaxed with PBE gives the simulated X-ray diffraction stick pattern in this record (λ = 1.5418 Å (Cu Kα)).
Peak positions follow from Bragg's law for the DFT cell and can differ from measured ones.

Cell and atoms:
```
18
Lattice="-4.603 4.668 4.866 4.603 -4.668 4.866 4.603 4.668 -4.866" Properties=species:S:1:pos:R:3 pbc="T T T"
Lu 4.603 2.697 -2.571
Lu 2.626 1.724 0.000
Lu 6.581 1.724 0.000
Lu 1.765 4.668 -1.750
Lu 2.838 0.000 3.116
Lu 0.000 1.971 2.295
Lu 4.603 2.697 2.571
Lu 1.765 4.668 1.750
Lu 2.838 0.000 6.616
Lu -1.977 2.944 4.866
Lu 1.977 2.944 4.866
Lu 0.000 1.971 7.437
Co 4.603 0.000 1.114
Co 0.000 3.388 0.000
Co 0.000 5.948 0.000
Co 0.000 4.668 3.752
Sn 0.000 0.000 0.000
Sn 0.000 0.000 4.866
```

Peak list (12 most intense, 10° ≤ 2θ ≤ 90°, in order of rising 2θ)
2θ/deg	d_spacing	I (rel.)
29.15	3.063	19
30.15	2.964	15
30.66	2.916	23
32.95	2.719	100
35.18	2.551	29
35.60	2.522	38
36.04	2.492	29
36.22	2.480	16
36.95	2.433	15
39.14	2.302	18
57.80	1.595	13
61.54	1.507	21